Starting from a DFT-relaxed cell (GGA-PBE, Alexandria), the powder diffractogram of InSb5 was computed for a wavelength of 1.5418 Å.
Kinematic intensities with the Lorentz-polarization factor, no thermal factor.

Most intense lines, 2θ = 10–90°, low angle first:
Position (°2θ)  I/Imax  hkl
32.36  19.1  0 6 0
32.81  100.0  1 3 1
35.23  22.7  2 0 0
45.54  10.9  0 0 2
48.59  12.0  2 6 0
58.00  7.9  1 9 1
58.86  10.0  2 0 2
61.70  15.7  3 3 1
68.78  8.3  2 6 2
76.04  8.6  1 3 3

Crystal structure
a = 5.0944 Å, b = 16.5987 Å, c = 3.9836 Å
α = 90.00°, β = 90.00°, γ = 90.00°
Space group Cmmm (No. 65)
Inequivalent atoms, fractional coordinates:
In 0.0000 0.0000 0.0000 x2
Sb 0.0000 0.1897 0.5000 x4
Sb 0.0000 0.3499 0.0000 x4
Sb 0.0000 0.5000 0.5000 x2

***

Starting from a DFT-relaxed cell (GGA-PBE, Alexandria), the powder diffractogram of Np4Co3Si16 was computed for a wavelength of 1.5418 Å.
Kinematic intensities with the Lorentz-polarization factor, no thermal factor.

Most intense lines, 2θ = 10–90°, low angle first:
Position (°2θ)  I/Imax  hkl
16.81  26.0  0 0 2
21.91  100.0  1 1 0
27.74  41.8  1 1 2
31.18  45.4  2 0 0
33.73  85.0  1 1 3
35.63  43.5  2 0 2
40.59  78.7  2 0 3
44.68  50.9  2 2 0
50.29  24.7  3 1 0
57.12  45.2  3 1 3

Crystal structure
a = 5.7372 Å, b = 5.7372 Å, c = 10.5486 Å
α = 90.00°, β = 90.00°, γ = 90.00°
Space group P4/mmm (No. 123)
Inequivalent atoms, fractional coordinates:
Np 0.0000 0.5000 0.1920 x4
Co 0.0000 0.0000 0.0000 x1
Co 0.0000 0.5000 0.5000 x2
Si 0.0000 0.0000 0.2329 x2
Si 0.2596 0.2596 0.3829 x8
Si 0.2838 0.2838 0.0000 x4
Si 0.5000 0.5000 0.2066 x2

***

Starting from a DFT-relaxed cell (GGA-PBE, Alexandria), the powder diffractogram of PrZn4Ag4 was computed for a wavelength of 1.5418 Å.
Kinematic intensities with the Lorentz-polarization factor, no thermal factor.

Most intense lines, 2θ = 10–90°, low angle first:
Position (°2θ)  I/Imax  hkl
29.93  50.4  1 2 1
32.74  51.8  1 3 0
36.57  56.2  3 0 1
38.34  46.5  0 0 2
42.30  100.0  3 2 1
51.28  28.1  1 3 2
54.05  17.5  1 5 0
68.19  25.5  1 5 2
72.04  19.1  3 2 3
72.85  15.9  4 5 1

Crystal structure
a = 8.6506 Å, b = 8.6506 Å, c = 4.6958 Å
α = 90.00°, β = 90.00°, γ = 90.00°
Space group I4/m (No. 87)
Inequivalent atoms, fractional coordinates:
Pr 0.0000 0.0000 0.0000 x2
Zn 0.1205 0.2213 0.5000 x8
Ag 0.0914 0.3681 0.0000 x8

***

Starting from a DFT-relaxed cell (GGA-PBE, Alexandria), the powder diffractogram of Sm2PuAl4Au3 was computed for a wavelength of 1.5418 Å.
Kinematic intensities with the Lorentz-polarization factor, no thermal factor.

Most intense lines, 2θ = 10–90°, low angle first:
Position (°2θ)  I/Imax  hkl
22.49  51.0  0 0 3
30.13  100.0  1 1 1
30.62  64.4  1 0 3
32.91  99.2  1 1 2
41.70  65.5  2 0 0
42.43  35.4  1 1 4
47.89  29.1  2 0 3
52.61  28.7  2 1 3
60.45  22.1  2 2 0
70.57  25.7  3 1 2

Crystal structure
a = 4.3318 Å, b = 4.3318 Å, c = 11.8577 Å
α = 90.00°, β = 90.00°, γ = 90.00°
Space group P-4m2 (No. 115)
Inequivalent atoms, fractional coordinates:
Sm 0.0000 0.5000 0.2271 x2
Pu 0.0000 0.0000 0.5000 x1
Al 0.0000 0.0000 0.0000 x1
Al 0.0000 0.5000 0.6701 x2
Al 0.5000 0.5000 0.0000 x1
Au 0.0000 0.5000 0.8795 x2
Au 0.5000 0.5000 0.5000 x1

***

Starting from a DFT-relaxed cell (GGA-PBE, Alexandria), the powder diffractogram of Nd4Y4Er was computed for a wavelength of 1.5418 Å.
Kinematic intensities with the Lorentz-polarization factor, no thermal factor.

Most intense lines, 2θ = 10–90°, low angle first:
Position (°2θ)  I/Imax  hkl
30.29  100.0  3 1 0
35.05  33.8  2 0 3
35.24  16.6  4 0 -3
50.44  17.9  2 2 3
50.53  11.9  4 2 -3
59.91  21.2  3 3 0
60.10  14.0  5 1 3
60.27  7.0  7 1 -3
62.92  6.2  2 2 -6
82.16  8.5  5 3 3

Crystal structure
a = 11.3823 Å, b = 5.1257 Å, c = 10.8453 Å
α = 90.00°, β = 108.28°, γ = 90.00°
Space group C2/m (No. 12)
Inequivalent atoms, fractional coordinates:
Nd 0.0003 0.0000 0.1681 x4
Nd 0.1669 0.5000 0.3896 x4
Y 0.1658 0.5000 0.0545 x4
Y 0.1670 0.5000 0.7227 x4
Er 0.0000 0.0000 0.5000 x2

***

Starting from a DFT-relaxed cell (GGA-PBE, Alexandria), the powder diffractogram of Dy2Ga7 was computed for a wavelength of 1.5418 Å.
Kinematic intensities with the Lorentz-polarization factor, no thermal factor.

Most intense lines, 2θ = 10–90°, low angle first:
Position (°2θ)  I/Imax  hkl
28.88  32.9  1 0 10
30.63  29.2  0 1 11
32.47  43.7  1 1 0
37.73  32.9  0 2 1
38.26  100.0  1 1 9
40.01  16.6  0 0 18
41.81  14.8  2 0 8
57.93  15.2  3 0 0
61.80  24.8  0 3 9
67.99  22.4  2 2 0

Crystal structure
a = 5.5152 Å, b = 5.5152 Å, c = 40.5644 Å
α = 90.00°, β = 90.00°, γ = 120.00°
Space group R-3m (No. 166, hexagonal axes)
Inequivalent atoms, fractional coordinates:
Dy 0.0000 0.0000 0.0495 x6
Dy 0.0000 0.0000 0.1485 x6
Ga 0.0000 0.0000 0.2775 x6
Ga 0.0000 0.0000 0.3904 x6
Ga 0.0000 0.0000 0.5000 x3
Ga 0.0000 0.5000 0.0000 x9
Ga 0.0077 0.5039 0.8875 x18

***

> Which formula does entry 1 have?

InSb5